The following is a theoretical powder diffractogram of KTaAs. It was derived from DFT lattice parameters and positions (GGA-PBE), using copper Kα.
Peak positions follow from Bragg's law for the DFT cell and can differ from measured ones.

Cell and atoms:
```
KTaAs
1.0
4.057 0.000 0.000
0.000 4.057 0.000
0.000 0.000 10.400
K Ta As
2 2 2
Cartesian
1.014 1.014 1.876
3.043 3.043 8.524
1.014 3.043 5.200
3.043 1.014 5.200
1.014 1.014 6.971
3.043 3.043 3.428
```

Top 10 peaks for 10° ≤ 2θ ≤ 90°, sorted by position:
2theta, I/Imax
17.1, 29
27.9, 30
32.4, 54
35.7, 100
40.8, 54
44.7, 38
45.6, 33
47.2, 36
71.6, 23
76.5, 22

The following is a theoretical powder diffractogram of K8TeAs2. It was derived from DFT lattice parameters and positions (GGA-PBE), using copper Kα.
Peak positions follow from Bragg's law for the DFT cell and can differ from measured ones.

Cell and atoms:
```
K8TeAs2
1.0
-2.804 4.280 8.514
2.804 -4.280 8.514
2.804 4.280 -8.514
K Te As
8 1 2
Cartesian
2.804 2.354 -2.727
0.000 0.000 2.869
0.000 2.546 0.000
2.804 2.354 2.727
0.000 1.927 5.787
0.000 6.015 0.000
0.000 0.000 14.158
0.000 1.927 11.241
2.804 0.000 0.000
2.804 0.000 5.427
0.000 4.280 3.087
```

Top 10 peaks for 10° ≤ 2θ ≤ 90°, sorted by position:
2theta, I/Imax
18.8, 18
18.9, 18
28.3, 12
30.6, 100
31.5, 23
31.9, 24
42.2, 8
45.5, 15
55.6, 13
56.1, 18